Record 1
Calculated powder diffractogram of Tm2CoAu for Cu Kα, from a structure optimized by DFT (PBE).
No peak broadening, texture or thermal motion is included.

Cell and atoms:
```
Tm2CoAu
1.0
3.384 0.000 0.000
0.000 3.384 0.000
0.000 0.000 7.075
Tm Co Au
2 1 1
Direct
0.000 0.000 0.229 Tm
0.000 0.000 0.771 Tm
0.500 0.500 0.000 Co
0.500 0.500 0.500 Au
```

Principal peaks in the range 2θ = 10–80°, low angle first:
d_spacing	two_theta	I/Imax
7.075	12.51	7
3.053	29.26	17
2.445	36.76	100
2.393	37.59	49
1.769	51.68	8
1.692	54.21	17
1.680	54.64	7
1.422	65.64	16
1.391	67.29	34
1.223	78.18	10

Record 2
Calculated powder diffractogram of YZrS4 for Cu Kα, from a structure optimized by DFT (PBE).
No peak broadening, texture or thermal motion is included.

Cell and atoms:
```
YZrS4
1.0
4.414 -4.464 0.000
4.414 4.464 0.000
0.000 0.000 3.893
Y Zr S
1 1 4
Direct
0.000 0.000 0.000 Y
0.500 0.500 0.500 Zr
0.212 0.212 0.500 S
0.309 0.691 0.000 S
0.691 0.309 0.000 S
0.788 0.788 0.500 S
```

Principal peaks in the range 2θ = 10–80°, low angle first:
d_spacing	two_theta	I/Imax
4.464	19.89	100
4.414	20.11	87
3.308	26.95	93
2.920	30.62	25
2.284	39.46	82
2.270	39.70	65
2.232	40.41	24
2.207	40.89	29
1.843	49.45	65
1.783	51.25	28

Record 3
Calculated powder diffractogram of SrMg2Co for Cu Kα, from a structure optimized by DFT (PBE).
No peak broadening, texture or thermal motion is included.

Cell and atoms:
```
SrMg2Co
1.0
3.530 0.000 0.000
0.000 3.530 0.000
0.000 0.000 7.660
Sr Mg Co
1 2 1
Direct
0.000 0.000 0.000 Sr
0.000 0.000 0.406 Mg
0.500 0.500 0.639 Mg
0.500 0.500 0.278 Co
```

Principal peaks in the range 2θ = 10–80°, low angle first:
d_spacing	two_theta	I/Imax
7.660	11.55	59
3.206	27.83	65
2.596	34.55	100
2.553	35.15	21
2.496	35.98	69
2.069	43.76	19
1.785	51.18	28
1.765	51.79	23
1.546	59.81	14
1.460	63.76	32

Record 4
Calculated powder diffractogram of Zr2B for Cu Kα, from a structure optimized by DFT (PBE).
No peak broadening, texture or thermal motion is included.

Cell and atoms:
```
Zr2B
1.0
5.472 -1.684 0.000
5.472 1.684 0.000
-2.805 0.000 5.735
Zr B
4 2
Direct
0.028 0.028 0.274 Zr
0.278 0.278 0.221 Zr
0.722 0.722 0.779 Zr
0.972 0.972 0.726 Zr
0.414 0.414 0.973 B
0.586 0.586 0.027 B
```

Principal peaks in the range 2θ = 10–80°, low angle first:
d_spacing	two_theta	I/Imax
3.186	28.00	43
2.971	30.08	52
2.868	31.19	100
2.736	32.73	44
2.631	34.08	93
2.481	36.21	41
2.459	36.55	49
2.349	38.32	66
2.186	41.31	89
1.994	45.50	42